Simulated powder XRD pattern of CsFe2I7 for Cu Kα, from the GGA-PBE geometry in Alexandria.
Neutral-atom scattering factors, no anomalous dispersion.

Structural model:
a b c (Å): 9.373 4.386 12.246
angles (deg): 90.00 103.44 90.00
Fractional coordinates of all 10 atoms:
1 Cs 0.000 0.000 0.000
2 Fe 0.173 0.500 0.345
3 Fe 0.827 0.500 0.655
4 I 0.095 0.500 0.755
5 I 0.248 0.000 0.467
6 I 0.326 0.500 0.194
7 I 0.500 0.500 0.000
8 I 0.674 0.500 0.806
9 I 0.752 0.000 0.533
10 I 0.905 0.500 0.245

Top 10 peaks for 2θ = 10–80°, low angle first:
two_theta, d (Å), I/Imax
13.53, 6.542, 31
22.45, 3.961, 90
24.43, 3.643, 37
25.22, 3.532, 100
26.11, 3.412, 67
28.02, 3.185, 54
28.33, 3.151, 43
41.16, 2.193, 32
42.28, 2.138, 34
46.51, 1.953, 36

---

Simulated powder XRD pattern of LaCo9B4 for Cu Kα, from the GGA-PBE geometry in Alexandria.
Neutral-atom scattering factors, no anomalous dispersion.

Structural model:
a b c (Å): 7.507 7.507 7.507
angles (deg): 120.13 120.13 89.78
Fractional coordinates of all 28 atoms:
1 La 0.250 0.250 0.000
2 La 0.750 0.750 0.000
3 Co 0.000 0.500 0.500
4 Co 0.022 0.817 0.500
5 Co 0.084 0.806 0.890
6 Co 0.183 0.683 0.205
7 Co 0.194 0.084 0.277
8 Co 0.306 0.584 0.890
9 Co 0.317 0.522 0.500
10 Co 0.416 0.306 0.723
11 Co 0.478 0.978 0.795
12 Co 0.500 0.000 0.500
13 Co 0.522 0.022 0.205
14 Co 0.584 0.694 0.277
15 Co 0.683 0.478 0.500
16 Co 0.694 0.416 0.110
17 Co 0.806 0.916 0.723
18 Co 0.817 0.317 0.795
19 Co 0.916 0.194 0.110
20 Co 0.978 0.183 0.500
21 B 0.001 0.501 0.212
22 B 0.211 0.999 0.500
23 B 0.289 0.789 0.788
24 B 0.499 0.711 0.500
25 B 0.501 0.289 0.500
26 B 0.711 0.211 0.212
27 B 0.789 0.001 0.500
28 B 0.999 0.499 0.788

Top 10 peaks for 2θ = 10–80°, low angle first:
two_theta, d (Å), I/Imax
23.72, 3.750, 13
33.71, 2.659, 14
36.91, 2.435, 47
37.90, 2.374, 30
41.72, 2.165, 100
44.42, 2.039, 14
50.98, 1.791, 14
54.79, 1.675, 15
65.91, 1.417, 11
76.08, 1.251, 9

---

Simulated powder XRD pattern of SbW4Se8 for Cu Kα, from the GGA-PBE geometry in Alexandria.
Neutral-atom scattering factors, no anomalous dispersion.

Structural model:
a b c (Å): 9.328 9.328 9.328
angles (deg): 41.59 41.59 41.59
Fractional coordinates of all 13 atoms:
1 Sb 0.000 0.000 0.000
2 W 0.000 0.000 0.500
3 W 0.000 0.500 0.000
4 W 0.500 0.000 0.000
5 W 0.500 0.500 0.500
6 Se 0.232 0.735 0.735
7 Se 0.234 0.234 0.234
8 Se 0.265 0.265 0.768
9 Se 0.265 0.768 0.265
10 Se 0.735 0.232 0.735
11 Se 0.735 0.735 0.232
12 Se 0.766 0.766 0.766
13 Se 0.768 0.265 0.265

Top 10 peaks for 2θ = 10–80°, low angle first:
two_theta, d (Å), I/Imax
10.40, 8.508, 100
31.39, 2.850, 11
34.28, 2.616, 61
40.00, 2.254, 20
42.37, 2.133, 28
50.60, 1.804, 13
55.49, 1.656, 16
56.63, 1.625, 9
66.87, 1.399, 9
72.32, 1.307, 8

---

Simulated powder XRD pattern of NdMg7Al5 for Cu Kα, from the GGA-PBE geometry in Alexandria.
Neutral-atom scattering factors, no anomalous dispersion.

Structural model:
a b c (Å): 7.530 7.530 7.530
angles (deg): 136.29 98.40 97.53
Fractional coordinates of all 13 atoms:
1 Nd 0.000 0.000 0.000
2 Mg 0.194 0.485 0.709
3 Mg 0.334 0.983 0.351
4 Mg 0.341 0.341 0.000
5 Mg 0.633 0.983 0.649
6 Mg 0.640 0.640 0.000
7 Mg 0.768 0.268 0.500
8 Mg 0.776 0.485 0.291
9 Al 0.198 0.698 0.500
10 Al 0.477 0.483 0.492
11 Al 0.477 0.985 0.995
12 Al 0.990 0.483 0.005
13 Al 0.990 0.985 0.508

Top 10 peaks for 2θ = 10–80°, low angle first:
two_theta, d (Å), I/Imax
12.67, 6.988, 79
18.19, 4.876, 60
25.67, 3.471, 94
31.39, 2.850, 41
31.60, 2.831, 41
36.20, 2.482, 32
36.47, 2.464, 100
36.54, 2.459, 72
36.87, 2.438, 90
59.91, 1.544, 32